No. 1
Theoretical powder diffractogram
Compound: BPd5
Radiation: λ = 1.5418 Å (Cu Kα)
Structure: a PBE-relaxed structure

Crystal structure
```
BPd5
1.0
6.4003 0.0000 0.0000
0.0000 8.2266 0.0000
-6.3627 0.0000 6.4731
B Pd
4 20
Direct
0.2137 0.1329 0.1585
0.2137 0.3671 0.6585
0.7863 0.6329 0.3415
0.7863 0.8671 0.8415
0.0017 0.6259 0.2462
0.0017 0.8741 0.7462
0.2006 0.1169 0.6504
0.2006 0.3831 0.1504
0.2037 0.6265 0.6516
0.2037 0.8735 0.1516
0.3879 0.6251 0.0407
0.3879 0.8749 0.5407
0.4072 0.1263 0.0480
0.4072 0.3737 0.5480
0.5928 0.6263 0.4520
0.5928 0.8737 0.9520
0.6121 0.1251 0.4593
0.6121 0.3749 0.9593
0.7963 0.1265 0.8484
0.7963 0.3735 0.3484
0.7994 0.6169 0.8496
0.7994 0.8831 0.3496
0.9983 0.1259 0.2538
0.9983 0.3741 0.7538
```

Main lines, sorted by position (10 to 90 degrees two-theta):
2theta	I/Imax
38.16	100
44.03	17
44.22	17
44.81	17
64.17	11
64.65	16

***

No. 2
Theoretical powder diffractogram
Compound: Cs2PdI3Cl
Radiation: λ = 1.5418 Å (Cu Kα)
Structure: a PBE-relaxed structure

Crystal structure
```
Cs2PdI3Cl
1.0
5.1040 0.0000 0.0000
0.0000 5.4561 6.0550
0.0000 -5.4561 6.0550
Cs Pd I Cl
2 1 3 1
Direct
0.0000 0.2248 0.7752
0.0000 0.7752 0.2248
0.5000 0.7522 0.7522
0.5000 0.5082 0.9951
0.5000 0.5358 0.5358
0.5000 0.9951 0.5082
0.5000 0.9503 0.9503
```

Main lines, sorted by position (10 to 90 degrees two-theta):
2theta	I/Imax
10.91	44
20.56	31
22.79	68
28.11	100
29.50	40
32.83	31

***

No. 3
Theoretical powder diffractogram
Compound: Ba5Re3BrO15
Radiation: λ = 1.5418 Å (Cu Kα)
Structure: a PBE-relaxed structure

Crystal structure
```
Ba5Re3BrO15
1.0
10.9564 0.0000 0.0000
-5.4782 9.4885 0.0000
0.0000 0.0000 7.7938
Ba Re Br O
10 6 2 30
Direct
0.0000 0.2635 0.0000
0.0000 0.7365 0.5000
0.2635 0.0000 0.0000
0.2635 0.2635 0.5000
0.3333 0.6667 0.2629
0.3333 0.6667 0.7629
0.6667 0.3333 0.2629
0.6667 0.3333 0.7629
0.7365 0.0000 0.5000
0.7365 0.7365 0.0000
0.0000 0.3920 0.5553
0.0000 0.6080 0.0553
0.3920 0.0000 0.5553
0.3920 0.3920 0.0553
0.6080 0.0000 0.0553
0.6080 0.6080 0.5553
0.0000 0.0000 0.2288
0.0000 0.0000 0.7288
0.0000 0.2965 0.3735
0.0000 0.7035 0.8735
0.1321 0.5512 0.0168
0.1321 0.5808 0.5168
0.1335 0.3891 0.6971
0.1335 0.7443 0.1971
0.2557 0.3891 0.1971
0.2557 0.8665 0.6971
0.2965 0.0000 0.3735
0.2965 0.2965 0.8735
0.3891 0.1335 0.6971
0.3891 0.2557 0.1971
0.4192 0.5512 0.5168
0.4192 0.8679 0.0168
0.4488 0.5808 0.0168
0.4488 0.8679 0.5168
0.5512 0.1321 0.0168
0.5512 0.4192 0.5168
0.5808 0.1321 0.5168
0.5808 0.4488 0.0168
0.6109 0.7443 0.6971
0.6109 0.8665 0.1971
0.7035 0.0000 0.8735
0.7035 0.7035 0.3735
0.7443 0.1335 0.1971
0.7443 0.6109 0.6971
0.8665 0.2557 0.6971
0.8665 0.6109 0.1971
0.8679 0.4192 0.0168
0.8679 0.4488 0.5168
```

Main lines, sorted by position (10 to 90 degrees two-theta):
2theta	I/Imax
22.82	24
27.38	93
28.10	100
28.22	86
36.02	30
40.24	29